Structure and calculated powder XRD pattern of PmNd4Dy15 (a crystal structure in Alexandria, relaxed with GGA-PBE; copper Kα).
Kinematic intensities with the Lorentz-polarization factor, no thermal factor.

a = 5.0662 Å, b = 5.0662 Å, c = 25.2270 Å
α = 90.00°, β = 90.00°, γ = 90.00°
Space group P4/mmm (No. 123)
Symmetry-distinct sites (fractional):
Pm 0.0000 0.0000 0.0000
Nd 0.0000 0.0000 0.2000
Nd 0.0000 0.0000 0.4000
Dy 0.0000 0.5000 0.0998
Dy 0.0000 0.5000 0.3000
Dy 0.0000 0.5000 0.5000
Dy 0.5000 0.5000 0.0000
Dy 0.5000 0.5000 0.1999
Dy 0.5000 0.5000 0.4001

The 10 most intense peaks (2θ from 15° to 90°), most intense first:
2θ (°), I (rel.)
30.61, 100
35.44, 34
60.65, 29
51.10, 24
35.59, 17
60.85, 14
63.72, 12
50.99, 12
83.30, 12
85.81, 11